No. 1
TiGaCoTc: calculated powder XRD pattern (λ = 1.5418 Å (Cu Kα)), based on a DFT-relaxed cell (PBE, Alexandria).
Lines closer than 0.1° are merged.

a = 3.1610 Å, b = 4.1081 Å, c = 4.1842 Å
α = 90.00°, β = 90.00°, γ = 90.00°
Space group Pmmm (No. 47)
One atom of each set of equivalent atoms:
Ti1 0.0000 0.0000 0.0000 [1 per cell]
Ga1 0.0000 0.5000 0.5000 [1 per cell]
Co1 0.5000 0.0000 0.5000 [1 per cell]
Tc1 0.5000 0.5000 0.0000 [1 per cell]

The 6 most intense peaks (2θ from 10° to 90°), low angle first:
hkl  2theta  I/Imax
1 1 1  42.04  100
0 0 2  43.24  23
0 2 0  44.09  22
0 2 2  63.47  14
1 1 3  78.49  14
1 3 1  79.67  14

***

No. 2
Th2GaCo3: calculated powder XRD pattern (λ = 1.5418 Å (Cu Kα)), based on a DFT-relaxed cell (PBE, Alexandria).
Lines closer than 0.1° are merged.

a = 6.7544 Å, b = 3.8110 Å, c = 16.6312 Å
α = 90.00°, β = 90.00°, γ = 90.00°
Space group Pnma (No. 62)
One atom of each set of equivalent atoms:
Th1 0.1109 0.2500 0.2098 [4 per cell]
Th2 0.1452 0.2500 0.4264 [4 per cell]
Ga1 0.0206 0.7500 0.0629 [4 per cell]
Co1 0.1116 0.2500 0.6450 [4 per cell]
Co2 0.1991 0.2500 0.8096 [4 per cell]
Co3 0.2441 0.2500 0.0507 [4 per cell]

The 6 most intense peaks (2θ from 10° to 90°), low angle first:
hkl  2theta  I/Imax
0 1 1  23.96  39
2 0 1  26.94  41
1 1 4  34.58  98
2 1 0  35.52  100
1 1 5  38.31  62
0 2 0  47.73  40

***

No. 3
Th3Ga2Co6: calculated powder XRD pattern (λ = 1.5418 Å (Cu Kα)), based on a DFT-relaxed cell (PBE, Alexandria).
Lines closer than 0.1° are merged.

a = 8.9826 Å, b = 8.9826 Å, c = 8.9826 Å
α = 90.00°, β = 90.00°, γ = 90.00°
Space group Im-3m (No. 229)
One atom of each set of equivalent atoms:
Th1 0.0000 0.0000 0.2902 [12 per cell]
Ga1 0.2500 0.2500 0.2500 [8 per cell]
Co1 0.0000 0.3484 0.3484 [24 per cell]

The 6 most intense peaks (2θ from 10° to 90°), low angle first:
hkl  2theta  I/Imax
2 1 1  24.27  49
3 1 0  31.49  49
2 2 2  34.59  69
3 3 0  42.71  100
5 2 1  56.08  43
5 5 2  78.20  31

***

No. 4
ThGa7Co5: calculated powder XRD pattern (λ = 1.5418 Å (Cu Kα)), based on a DFT-relaxed cell (PBE, Alexandria).
Lines closer than 0.1° are merged.

a = 5.1226 Å, b = 8.6504 Å, c = 8.4840 Å
α = 90.00°, β = 90.00°, γ = 90.00°
Space group Imm2 (No. 44)
One atom of each set of equivalent atoms:
Th1 0.0000 0.0000 0.0000 [2 per cell]
Ga1 0.0000 0.0000 0.3539 [2 per cell]
Ga2 0.0000 0.0000 0.6598 [2 per cell]
Ga3 0.0000 0.2926 0.4953 [4 per cell]
Ga4 0.0000 0.3464 0.0334 [4 per cell]
Ga5 0.0000 0.5000 0.7457 [2 per cell]
Co1 0.0000 0.5000 0.2856 [2 per cell]
Co2 0.2391 0.2574 0.7584 [8 per cell]

The 6 most intense peaks (2θ from 10° to 90°), low angle first:
hkl  2theta  I/Imax
1 3 0  35.73  44
2 2 0  40.95  41
2 0 2  41.17  41
0 4 0  41.78  100
1 2 3  42.05  58
0 0 4  42.63  30

***

No. 5
ThGa12Co6: calculated powder XRD pattern (λ = 1.5418 Å (Cu Kα)), based on a DFT-relaxed cell (PBE, Alexandria).
Lines closer than 0.1° are merged.

a = 10.9435 Å, b = 10.9435 Å, c = 8.3900 Å
α = 90.00°, β = 90.00°, γ = 120.00°
Space group R-3m (No. 166, hexagonal axes)
One atom of each set of equivalent atoms:
Th1 0.0000 0.0000 0.0000 [3 per cell]
Ga1 0.0000 0.3830 0.5000 [18 per cell]
Ga2 0.0890 0.1780 0.3278 [18 per cell]
Co1 0.0509 0.5254 0.2535 [18 per cell]

The 6 most intense peaks (2θ from 10° to 90°), low angle first:
hkl  2theta  I/Imax
2 1 1  27.07  42
1 3 1  35.80  100
1 1 3  36.07  64
3 1 2  40.50  28
0 2 4  47.40  37
5 0 2  53.01  41

***

No. 6
ThGa4Co4: calculated powder XRD pattern (λ = 1.5418 Å (Cu Kα)), based on a DFT-relaxed cell (PBE, Alexandria).
Lines closer than 0.1° are merged.

a = 8.0002 Å, b = 8.0002 Å, c = 4.3281 Å
α = 90.00°, β = 90.00°, γ = 90.00°
Space group I4/m (No. 87)
One atom of each set of equivalent atoms:
Th1 0.0000 0.0000 0.0000 [2 per cell]
Ga1 0.1490 0.7291 0.5000 [8 per cell]
Co1 0.0923 0.6149 0.0000 [8 per cell]

The 6 most intense peaks (2θ from 10° to 90°), low angle first:
hkl  2theta  I/Imax
1 2 1  32.47  100
3 1 0  35.48  79
3 0 1  39.70  47
0 0 2  41.74  47
2 3 1  45.96  62
3 1 2  55.91  42

***

No. 7
ThGa2Co3: calculated powder XRD pattern (λ = 1.5418 Å (Cu Kα)), based on a DFT-relaxed cell (PBE, Alexandria).
Lines closer than 0.1° are merged.

a = 5.2726 Å, b = 5.2726 Å, c = 3.8552 Å
α = 90.00°, β = 90.00°, γ = 120.00°
Space group P6mm (No. 183)
One atom of each set of equivalent atoms:
Th1 0.0000 0.0000 0.0000 [1 per cell]
Ga1 0.3333 0.6667 0.7459 [2 per cell]
Co1 0.0000 0.5000 0.2558 [3 per cell]

The 6 most intense peaks (2θ from 10° to 90°), low angle first:
hkl  2theta  I/Imax
1 0 1  30.34  100
1 1 0  34.01  68
2 0 0  39.47  54
1 1 1  41.50  78
2 0 1  46.21  70
1 0 2  51.46  57

***

No. 8
Th2GaCo9: calculated powder XRD pattern (λ = 1.5418 Å (Cu Kα)), based on a DFT-relaxed cell (PBE, Alexandria).
Lines closer than 0.1° are merged.

a = 4.8655 Å, b = 4.8655 Å, c = 25.1597 Å
α = 90.00°, β = 90.00°, γ = 120.00°
Space group R-3m (No. 166, hexagonal axes)
One atom of each set of equivalent atoms:
Th1 0.0000 0.0000 0.1332 [6 per cell]
Ga1 0.0000 0.0000 0.0000 [3 per cell]
Co1 0.0000 0.0000 0.3332 [6 per cell]
Co2 0.0000 0.0000 0.5000 [3 per cell]
Co3 0.0015 0.5007 0.0787 [18 per cell]

The 6 most intense peaks (2θ from 10° to 90°), low angle first:
hkl  2theta  I/Imax
1 0 4  25.44  72
1 0 7  32.75  88
0 1 8  35.62  100
1 1 0  36.95  96
1 1 6  42.98  98
0 2 1  43.09  64

***

No. 9
TmThGa2Co2: calculated powder XRD pattern (λ = 1.5418 Å (Cu Kα)), based on a DFT-relaxed cell (PBE, Alexandria).
Lines closer than 0.1° are merged.

a = 4.2595 Å, b = 4.2595 Å, c = 7.1404 Å
α = 90.00°, β = 90.00°, γ = 120.00°
Space group P-3m1 (No. 164)
One atom of each set of equivalent atoms:
Tm1 0.0000 0.0000 0.0000 [1 per cell]
Th1 0.0000 0.0000 0.5000 [1 per cell]
Ga1 0.3333 0.6667 0.7747 [2 per cell]
Co1 0.3333 0.6667 0.2445 [2 per cell]

The 6 most intense peaks (2θ from 10° to 90°), low angle first:
hkl  2theta  I/Imax
1 0 0  24.13  30
1 0 2  34.98  100
1 1 0  42.44  47
0 2 2  56.13  26
1 1 4  68.60  21
2 1 2  72.83  24

***

No. 10
Ti6Ga16Co7: calculated powder XRD pattern (λ = 1.5418 Å (Cu Kα)), based on a DFT-relaxed cell (PBE, Alexandria).
Lines closer than 0.1° are merged.

a = 11.8069 Å, b = 11.8069 Å, c = 11.8069 Å
α = 90.00°, β = 90.00°, γ = 90.00°
Space group Fm-3m (No. 225)
One atom of each set of equivalent atoms:
Ti1 0.0000 0.0000 0.1988 [24 per cell]
Ga1 0.1217 0.1217 0.3783 [32 per cell]
Ga2 0.1529 0.1529 0.1529 [32 per cell]
Co1 0.0000 0.0000 0.5000 [4 per cell]
Co2 0.0000 0.2500 0.2500 [24 per cell]

The 6 most intense peaks (2θ from 10° to 90°), low angle first:
hkl  2theta  I/Imax
3 3 3  39.67  30
4 4 0  43.35  100
5 3 1  45.45  11
6 0 0  46.13  9
8 0 0  62.98  10
8 4 4  79.55  15

***

No. 11
Ti2Ga2Co: calculated powder XRD pattern (λ = 1.5418 Å (Cu Kα)), based on a DFT-relaxed cell (PBE, Alexandria).
Lines closer than 0.1° are merged.

a = 4.1177 Å, b = 4.1177 Å, c = 18.1444 Å
α = 90.00°, β = 90.00°, γ = 90.00°
Space group I4_1/amd (No. 141, origin choice 2)
One atom of each set of equivalent atoms:
Ti1 0.0000 0.2500 0.0534 [8 per cell]
Ga1 0.0000 0.2500 0.2018 [8 per cell]
Co1 0.0000 0.2500 0.8750 [4 per cell]

The 6 most intense peaks (2θ from 10° to 90°), low angle first:
hkl  2theta  I/Imax
1 0 3  26.18  30
1 1 2  32.29  18
1 1 6  43.13  100
2 0 0  43.98  52
2 2 0  63.95  16
3 1 6  80.27  29

***

No. 12
Ti2Ga3Co4: calculated powder XRD pattern (λ = 1.5418 Å (Cu Kα)), based on a DFT-relaxed cell (PBE, Alexandria).
Lines closer than 0.1° are merged.

a = 3.9212 Å, b = 4.2833 Å, c = 7.7705 Å
α = 82.34°, β = 89.93°, γ = 62.77°
Space group P-1 (No. 2)
One atom of each set of equivalent atoms:
Ti1 0.1726 0.1537 0.2138 [2 per cell]
Ga1 0.1559 0.1899 0.5749 [2 per cell]
Ga2 0.5000 0.5000 0.0000 [1 per cell]
Co1 0.1659 0.1687 0.8923 [2 per cell]
Co2 0.4820 0.5378 0.6730 [2 per cell]

The 6 most intense peaks (2θ from 10° to 90°), low angle first:
hkl  2theta  I/Imax
1 0 -3  42.36  100
1 -1 0  42.77  100
0 1 -3  45.72  42
2 1 0  46.31  41
0 2 3  56.14  18
2 0 3  67.11  24